For Ce3Sn5Au6, the GGA-PBE geometry in the Materials Project gives the theoretical powder diffractogram in this record (copper Kα).
No peak broadening, texture or thermal motion is included.

Most intense lines, 2θ = 10–80°, in order of rising 2θ:
2θ = 32.5°, I = 1000, hkl 1 3 2
2θ = 35.0°, I = 250, hkl 1 2 3
2θ = 38.7°, I = 363, hkl 2 0 0
2θ = 39.2°, I = 268, hkl 0 6 0
2θ = 42.0°, I = 214, hkl 1 4 3
2θ = 56.3°, I = 212, hkl 2 6 0

Lattice parameters (Å, degrees): 4.6584 13.7806 10.2698 90.00 90.00 90.00
Space group Pmmn (No. 59, origin choice 2)
Unique sites:
Ce  0.2500  0.0668  0.2454 [4 per cell]
Ce  0.2500  0.7500  0.2434 [2 per cell]
Sn  0.2500  0.0870  0.8790 [4 per cell]
Sn  0.2500  0.6094  0.5228 [4 per cell]
Sn  0.2500  0.7500  0.7768 [2 per cell]
Au  0.2500  0.0868  0.6188 [4 per cell]
Au  0.2500  0.2500  0.0390 [2 per cell]
Au  0.2500  0.2500  0.4398 [2 per cell]
Au  0.2500  0.6035  0.9772 [4 per cell]